Entry 1:
Theoretical XRD peak list
Compound: Cs3K4Rb8
Radiation: CuKα
Structure: a structure optimized by DFT (GGA-PBE)
No peak broadening, texture or thermal motion is included.

Top 10 peaks for 10 to 90 degrees two-theta, by angle:
2θ/deg	Rel. int.
19.52	13
20.71	61
22.57	100
23.96	12
30.82	15
34.14	13
38.54	18
39.63	19
40.27	15
41.94	20

Structure:
```
data_Cs3K4Rb8
_space_group_name_H-M_alt 'F m -3 m'
_space_group_IT_number 225
_space_group_name_Hall '-F 4 2 3'
_cell_length_a 22.2826
_cell_length_b 22.2826
_cell_length_c 22.2826
_cell_angle_alpha 90.00
_cell_angle_beta 90.00
_cell_angle_gamma 90.00
loop_
_atom_site_label
_atom_site_type_symbol
_atom_site_fract_x
_atom_site_fract_y
_atom_site_fract_z
Cs1 Cs 0.0000 0.0000 0.2163
K1 K 0.0000 0.0000 0.0000
K2 K 0.0000 0.0000 0.5000
K3 K 0.0000 0.2500 0.2500
Rb1 Rb 0.1191 0.1191 0.3809
Rb2 Rb 0.1639 0.1639 0.1639
```

***

Entry 2:
Theoretical XRD peak list
Compound: Cs7KRb3
Radiation: CuKα
Structure: a structure optimized by DFT (GGA-PBE)
No peak broadening, texture or thermal motion is included.

Top 10 peaks for 10 to 90 degrees two-theta, by angle:
2θ/deg	Rel. int.
20.56	100
21.47	27
24.05	64
33.69	28
34.84	26
39.79	18
40.30	31
41.30	14
41.82	14
53.10	15

Structure:
```
data_Cs7KRb3
_space_group_name_H-M_alt 'P 3 m 1'
_space_group_IT_number 156
_cell_length_a 10.6418
_cell_length_b 10.6418
_cell_length_c 12.4186
_cell_angle_alpha 90.00
_cell_angle_beta 90.00
_cell_angle_gamma 120.00
loop_
_space_group_symop_operation_xyz
'x,y,z'
'-y,x-y,z'
'-x+y,-x,z'
'-y,-x,z'
'-x+y,y,z'
'x,x-y,z'
loop_
_atom_site_label
_atom_site_type_symbol
_atom_site_fract_x
_atom_site_fract_y
_atom_site_fract_z
Cs1 Cs 0.0000 0.0000 0.0000
Cs2 Cs 0.3388 0.1694 0.6454
Cs3 Cs 0.5007 0.0014 0.0034
K1 K 0.3333 0.6667 0.6637
Rb1 Rb 0.1719 0.3437 0.3345
```

***

Entry 3:
Theoretical XRD peak list
Compound: Cs5K2Rb12
Radiation: CuKα
Structure: a structure optimized by DFT (GGA-PBE)
No peak broadening, texture or thermal motion is included.

Top 10 peaks for 10 to 90 degrees two-theta, by angle:
2θ/deg	Rel. int.
19.83	66
20.05	41
20.51	70
21.13	60
21.55	100
21.58	69
21.83	68
21.94	37
23.10	66
39.98	55

Structure:
```
data_Cs5K2Rb12
_space_group_name_H-M_alt 'C 1 2/m 1'
_space_group_IT_number 12
_cell_length_a 22.9722
_cell_length_b 13.1872
_cell_length_c 12.2075
_cell_angle_alpha 90.00
_cell_angle_beta 91.74
_cell_angle_gamma 90.00
loop_
_space_group_symop_operation_xyz
'x,y,z'
'-x,-y,-z'
'-x,y,-z'
'x,-y,z'
'x+1/2,y+1/2,z'
'-x+1/2,-y+1/2,-z'
'-x+1/2,y+1/2,-z'
'x+1/2,-y+1/2,z'
loop_
_atom_site_label
_atom_site_type_symbol
_atom_site_fract_x
_atom_site_fract_y
_atom_site_fract_z
Cs1 Cs 0.0000 0.0000 0.0000
Cs2 Cs 0.2028 0.5000 0.5028
Cs3 Cs 0.2398 0.0000 0.0669
K1 K 0.0000 0.3255 0.5000
Rb1 Rb 0.0506 0.5000 0.8326
Rb2 Rb 0.0808 0.0000 0.3894
Rb3 Rb 0.1231 0.3006 0.1735
Rb4 Rb 0.1459 0.1865 0.7404
```